# 1
This entry pairs a crystal structure of Sr3GaO4F with its calculated PXRD pattern. Radiation: Cu Kα X-rays. Structure: a structure optimized by DFT (GGA-PBE).
Intensities are scaled so that the largest is 100.

Peak list (12 most intense, 10° ≤ 2θ ≤ 90°, sorted by position)
h k l	2theta	d_spacing	I (rel.)
2 1 1	30.20	2.959	39
2 0 2	30.39	2.941	100
0 0 4	31.13	2.873	40
2 2 0	37.13	2.421	30
2 1 3	37.60	2.392	69
3 1 0	41.71	2.166	20
2 2 4	49.21	1.851	24
2 1 5	49.59	1.838	19
2 0 6	54.92	1.672	21
4 0 2	56.05	1.641	16
4 2 0	60.46	1.531	15
4 2 4	69.57	1.351	15

Atomic structure:
Cell: 6.8481 6.8481 11.4930 Å, 90.00 90.00 90.00°
Space group I4/mcm (No. 140)
Symmetry-distinct sites (fractional):
Sr (0.0000, 0.0000, 0.2500) [4 per cell]
Sr (0.1676, 0.3324, 0.0000) [8 per cell]
Ga (0.0000, 0.5000, 0.2500) [4 per cell]
O (0.1475, 0.3525, 0.3559) [16 per cell]
F (0.0000, 0.0000, 0.0000) [4 per cell]

=====

# 2
This entry pairs a crystal structure of PuBiSb with its calculated PXRD pattern. Radiation: Cu Kα X-rays. Structure: a structure optimized by DFT (GGA-PBE).
Intensities are scaled so that the largest is 100.

Peak list (12 most intense, 10° ≤ 2θ ≤ 90°, sorted by position)
h k l	2theta	d_spacing	I (rel.)
1 3 0	25.52	3.491	6
1 3 1	32.35	2.767	100
0 6 0	32.62	2.745	18
0 6 1	38.32	2.349	8
0 0 2	39.71	2.270	16
2 0 0	39.86	2.261	16
0 6 2	52.30	1.749	10
2 6 0	52.42	1.745	10
2 0 2	57.53	1.602	11
1 9 1	58.04	1.589	8
1 3 3	67.46	1.388	12
3 3 1	67.69	1.384	21

Atomic structure:
Cell: 4.5228 16.4712 4.5396 Å, 90.00 90.00 90.00°
Space group Cmcm (No. 63)
Symmetry-distinct sites (fractional):
Pu (0.0000, 0.1049, 0.2500) [4 per cell]
Bi (0.0000, 0.4306, 0.2500) [4 per cell]
Sb (0.0000, 0.2510, 0.7500) [4 per cell]

=====

# 3
This entry pairs a crystal structure of BiBI2 with its calculated PXRD pattern. Radiation: Cu Kα X-rays. Structure: a structure optimized by DFT (GGA-PBE).
Intensities are scaled so that the largest is 100.

Peak list (12 most intense, 10° ≤ 2θ ≤ 90°, sorted by position)
h k l	2theta	d_spacing	I (rel.)
1 1 2	23.73	3.750	58
2 0 0	24.28	3.665	17
1 0 3	27.47	3.247	49
2 1 1	28.44	3.139	100
2 0 2	29.40	3.038	30
2 0 4	41.37	2.182	15
3 1 2	42.39	2.132	24
1 0 5	43.44	2.083	15
3 2 1	45.38	1.998	18
2 2 4	48.55	1.875	25
4 1 3	57.77	1.596	16
2 1 7	66.67	1.403	11

Atomic structure:
Cell: 7.3305 7.3305 10.8646 Å, 90.00 90.00 90.00°
Space group I-42d (No. 122)
Symmetry-distinct sites (fractional):
Bi (0.0000, 0.0000, 0.0000) [4 per cell]
B (0.0000, 0.0000, 0.5000) [4 per cell]
I (0.0592, 0.2500, 0.6250) [8 per cell]

=====

# 4
This entry pairs a crystal structure of DyHo7Tm3 with its calculated PXRD pattern. Radiation: Cu Kα X-rays. Structure: a structure optimized by DFT (GGA-PBE).
Intensities are scaled so that the largest is 100.

Peak list (12 most intense, 10° ≤ 2θ ≤ 90°, sorted by position)
h k l	2theta	d_spacing	I (rel.)
1 1 2	32.03	2.795	27
2 1 0	32.18	2.782	100
2 1 -2	32.32	2.770	85
2 0 -3	32.64	2.744	21
0 2 0	32.80	2.730	67
0 1 3	33.57	2.670	69
2 2 1	46.74	1.944	15
2 2 -3	46.95	1.935	15
4 0 -2	53.19	1.722	20
2 3 0	58.19	1.585	31
2 1 4	59.26	1.559	15
4 2 -2	63.91	1.457	23

Atomic structure:
Cell: 6.8905 5.4605 9.7770 Å, 90.00 110.12 90.00°
Space group P2/m (No. 10)
Symmetry-distinct sites (fractional):
Dy (0.0000, 0.0000, 0.0000) [1 per cell]
Ho (0.0000, 0.0000, 0.5000) [1 per cell]
Ho (0.1471, 0.5000, 0.7911) [2 per cell]
Ho (0.3223, 0.5000, 0.1417) [2 per cell]
Ho (0.4202, 0.0000, 0.3312) [2 per cell]
Tm (0.2780, 0.5000, 0.4981) [2 per cell]
Tm (0.5000, 0.0000, 0.0000) [1 per cell]

=====

# 5
This entry pairs a crystal structure of DyCdPd2 with its calculated PXRD pattern. Radiation: Cu Kα X-rays. Structure: a structure optimized by DFT (GGA-PBE).
Intensities are scaled so that the largest is 100.

Peak list (12 most intense, 10° ≤ 2θ ≤ 90°, sorted by position)
h k l	2theta	d_spacing	I (rel.)
0 0 2	35.73	2.513	27
2 0 0	36.22	2.480	31
1 2 1	38.62	2.331	100
1 0 2	40.23	2.242	8
2 0 2	51.79	1.765	18
0 4 0	59.57	1.552	7
1 2 3	66.12	1.413	13
3 2 1	66.74	1.402	19
0 4 2	71.44	1.321	7
2 4 0	71.74	1.316	8
2 4 2	82.81	1.166	9
3 2 3	88.94	1.100	6

Atomic structure:
Cell: 4.9606 6.2082 5.0261 Å, 90.00 90.00 90.00°
Space group Pmmn (No. 59, origin choice 2)
Symmetry-distinct sites (fractional):
Dy (0.2500, 0.2500, 0.2132) [2 per cell]
Cd (0.2500, 0.7500, 0.2266) [2 per cell]
Pd (0.2500, 0.0006, 0.7112) [4 per cell]

=====

# 6
This entry pairs a crystal structure of Tb4TlS2 with its calculated PXRD pattern. Radiation: Cu Kα X-rays. Structure: a structure optimized by DFT (GGA-PBE).
Intensities are scaled so that the largest is 100.

Peak list (12 most intense, 10° ≤ 2θ ≤ 90°, sorted by position)
h k l	2theta	d_spacing	I (rel.)
0 2 4	29.49	3.029	67
0 4 2	30.10	2.969	25
1 1 3	30.64	2.918	59
1 3 1	31.04	2.881	100
1 3 2	33.11	2.706	32
1 1 5	40.69	2.217	24
0 6 2	43.25	2.092	19
2 0 0	45.67	1.987	23
0 6 3	45.86	1.979	24
0 0 8	53.80	1.704	18
2 2 4	55.30	1.661	23
1 3 7	56.62	1.626	22

Atomic structure:
Cell: 3.9733 13.1896 13.6420 Å, 90.00 90.00 90.00°
Space group Cmcm (No. 63)
Symmetry-distinct sites (fractional):
Tb (0.0000, 0.0000, 0.0000) [4 per cell]
Tb (0.0000, 0.2655, 0.1146) [8 per cell]
Tb (0.0000, 0.4271, 0.7500) [4 per cell]
Tl (0.0000, 0.1089, 0.7500) [4 per cell]
S (0.0000, 0.3664, 0.5587) [8 per cell]

=====

Question: Number 3 is which compound?
Answer: BiBI2